(1)
Computed powder diffractogram of LaPm8Er3 for Cu Kα (λ = 1.5418 Å), from the GGA-PBE geometry in Alexandria.
Neutral-atom scattering factors, no anomalous dispersion.

```
LaPm8Er3
1.0
6.359 0.000 0.000
3.160 8.012 0.000
3.177 -0.452 8.011
La Pm Er
1 8 3
Direct
0.000 0.000 0.000 La
0.332 0.167 0.167 Pm
0.332 0.664 0.664 Pm
0.658 0.337 0.337 Pm
0.665 0.833 0.833 Pm
0.667 0.912 0.417 Pm
0.668 0.416 0.911 Pm
0.999 0.085 0.580 Pm
0.999 0.580 0.086 Pm
0.001 0.500 0.500 Er
0.330 0.250 0.747 Er
0.331 0.746 0.251 Er
```

Peak list (10 most intense, 15° ≤ 2θ ≤ 90°, in order of rising 2θ)
two_theta  I/Imax
28.06  24
30.69  25
32.07  100
42.07  16
49.66  20
55.40  11
55.47  11
59.50  19
60.33  14
81.78  8

***

(2)
Computed powder diffractogram of Ca4MnN4 for Cu Kα (λ = 1.5418 Å), from the GGA-PBE geometry in Alexandria.
Neutral-atom scattering factors, no anomalous dispersion.

```
Ca4MnN4
1.0
11.145 0.000 0.000
0.000 4.919 0.000
0.000 0.000 10.901
Ca Mn N
16 4 16
Direct
0.059 0.250 0.112 Ca
0.096 0.750 0.315 Ca
0.130 0.750 0.658 Ca
0.230 0.250 0.474 Ca
0.270 0.750 0.974 Ca
0.370 0.250 0.158 Ca
0.404 0.250 0.815 Ca
0.441 0.750 0.612 Ca
0.559 0.250 0.388 Ca
0.596 0.750 0.185 Ca
0.630 0.750 0.842 Ca
0.730 0.250 0.026 Ca
0.770 0.750 0.526 Ca
0.870 0.250 0.342 Ca
0.904 0.250 0.685 Ca
0.941 0.750 0.888 Ca
0.132 0.250 0.850 Mn
0.368 0.750 0.350 Mn
0.632 0.250 0.650 Mn
0.868 0.750 0.150 Mn
0.013 0.750 0.106 N
0.075 0.250 0.331 N
0.176 0.250 0.701 N
0.238 0.250 0.974 N
0.262 0.750 0.474 N
0.324 0.750 0.201 N
0.425 0.750 0.831 N
0.487 0.250 0.606 N
0.513 0.750 0.394 N
0.575 0.250 0.169 N
0.676 0.250 0.799 N
0.738 0.250 0.526 N
0.762 0.750 0.026 N
0.824 0.750 0.299 N
0.925 0.750 0.669 N
0.987 0.250 0.894 N
```

Peak list (10 most intense, 15° ≤ 2θ ≤ 90°, in order of rising 2θ)
two_theta  I/Imax
22.82  23
31.27  76
31.65  91
33.19  27
34.44  28
36.21  33
36.53  100
39.22  27
41.07  21
50.19  23

***

(3)
Computed powder diffractogram of La2NdMg for Cu Kα (λ = 1.5418 Å), from the GGA-PBE geometry in Alexandria.
Neutral-atom scattering factors, no anomalous dispersion.

```
La2NdMg
1.0
5.378 0.000 0.000
0.000 5.378 0.000
0.000 0.000 18.500
La Nd Mg
8 4 4
Direct
0.000 0.000 0.136 La
0.000 0.000 0.864 La
0.000 0.500 0.000 La
0.000 0.500 0.500 La
0.500 0.000 0.000 La
0.500 0.000 0.500 La
0.500 0.500 0.364 La
0.500 0.500 0.636 La
0.000 0.000 0.362 Nd
0.000 0.000 0.638 Nd
0.500 0.500 0.138 Nd
0.500 0.500 0.862 Nd
0.000 0.500 0.250 Mg
0.000 0.500 0.750 Mg
0.500 0.000 0.250 Mg
0.500 0.000 0.750 Mg
```

Peak list (10 most intense, 15° ≤ 2θ ≤ 90°, in order of rising 2θ)
two_theta  I/Imax
25.32  20
30.43  100
33.32  42
38.95  11
44.72  10
47.83  15
52.17  18
55.21  9
57.76  32
63.32  10

***

(4)
Computed powder diffractogram of NdDy2Si2Pt7 for Cu Kα (λ = 1.5418 Å), from the GGA-PBE geometry in Alexandria.
Neutral-atom scattering factors, no anomalous dispersion.

```
NdDy2Si2Pt7
1.0
2.897 -2.863 0.000
2.897 2.863 0.000
-2.124 0.000 13.699
Nd Dy Si Pt
1 2 2 7
Direct
0.000 0.000 0.000 Nd
0.117 0.117 0.359 Dy
0.883 0.883 0.641 Dy
0.402 0.402 0.740 Si
0.598 0.598 0.260 Si
0.064 0.563 0.168 Pt
0.366 0.366 0.571 Pt
0.437 0.936 0.832 Pt
0.500 0.500 0.000 Pt
0.563 0.064 0.168 Pt
0.634 0.634 0.429 Pt
0.936 0.437 0.832 Pt
```

Peak list (10 most intense, 15° ≤ 2θ ≤ 90°, in order of rising 2θ)
two_theta  I/Imax
31.95  43
32.69  44
33.94  53
34.32  69
35.80  87
36.14  23
37.06  100
44.52  85
44.76  27
76.65  22

***

(5)
Computed powder diffractogram of TaBe8Tc3 for Cu Kα (λ = 1.5418 Å), from the GGA-PBE geometry in Alexandria.
Neutral-atom scattering factors, no anomalous dispersion.

```
TaBe8Tc3
1.0
4.413 0.000 0.000
-2.206 3.822 0.000
0.000 0.000 7.249
Ta Be Tc
1 8 3
Direct
0.000 0.000 0.000 Ta
0.164 0.329 0.683 Be
0.164 0.836 0.683 Be
0.333 0.667 0.440 Be
0.333 0.667 0.935 Be
0.503 0.006 0.194 Be
0.503 0.497 0.194 Be
0.671 0.836 0.683 Be
0.994 0.497 0.194 Be
0.000 0.000 0.377 Tc
0.667 0.333 0.499 Tc
0.667 0.333 0.874 Tc
```

Peak list (10 most intense, 15° ≤ 2θ ≤ 90°, in order of rising 2θ)
two_theta  I/Imax
23.28  94
24.56  53
26.36  69
34.09  44
40.90  93
44.35  100
48.29  67
61.91  30
69.32  24
76.90  39

***

(6)
Computed powder diffractogram of CdBiPd3 for Cu Kα (λ = 1.5418 Å), from the GGA-PBE geometry in Alexandria.
Neutral-atom scattering factors, no anomalous dispersion.

```
CdBiPd3
1.0
7.491 0.000 0.000
0.000 7.595 0.000
0.000 0.000 6.848
Cd Bi Pd
4 4 12
Direct
0.000 0.000 0.000 Cd
0.000 0.500 0.000 Cd
0.500 0.000 0.500 Cd
0.500 0.500 0.500 Cd
0.157 0.250 0.410 Bi
0.343 0.750 0.910 Bi
0.657 0.250 0.090 Bi
0.843 0.750 0.590 Bi
0.140 0.750 0.273 Pd
0.151 0.550 0.635 Pd
0.151 0.950 0.635 Pd
0.349 0.050 0.135 Pd
0.349 0.450 0.135 Pd
0.360 0.250 0.773 Pd
0.640 0.750 0.227 Pd
0.651 0.550 0.865 Pd
0.651 0.950 0.865 Pd
0.849 0.050 0.365 Pd
0.849 0.450 0.365 Pd
0.860 0.250 0.727 Pd
```

Peak list (10 most intense, 15° ≤ 2θ ≤ 90°, in order of rising 2θ)
two_theta  I/Imax
21.11  32
29.42  37
36.15  100
37.34  86
37.51  30
38.37  74
39.82  36
41.32  58
47.91  25
71.07  22

***

(7)
Computed powder diffractogram of Ho3Mg2Pd3 for Cu Kα (λ = 1.5418 Å), from the GGA-PBE geometry in Alexandria.
Neutral-atom scattering factors, no anomalous dispersion.

```
Ho3Mg2Pd3
1.0
8.326 0.000 0.000
-4.163 7.210 0.000
0.000 0.000 5.754
Ho Mg Pd
6 4 6
Direct
0.000 0.260 0.250 Ho
0.000 0.740 0.750 Ho
0.260 0.000 0.250 Ho
0.260 0.260 0.750 Ho
0.740 0.000 0.750 Ho
0.740 0.740 0.250 Ho
0.333 0.667 0.000 Mg
0.333 0.667 0.500 Mg
0.667 0.333 0.000 Mg
0.667 0.333 0.500 Mg
0.000 0.396 0.750 Pd
0.000 0.604 0.250 Pd
0.396 0.000 0.750 Pd
0.396 0.396 0.250 Pd
0.604 0.000 0.250 Pd
0.604 0.604 0.750 Pd
```

Peak list (10 most intense, 15° ≤ 2θ ≤ 90°, in order of rising 2θ)
two_theta  I/Imax
21.34  38
31.08  38
32.86  11
36.48  100
37.42  26
38.02  33
48.17  16
49.41  14
58.01  16
58.88  25

***

(8)
Computed powder diffractogram of Na3Si3N5 for Cu Kα (λ = 1.5418 Å), from the GGA-PBE geometry in Alexandria.
Neutral-atom scattering factors, no anomalous dispersion.

```
Na3Si3N5
1.0
5.366 0.000 0.000
-0.925 6.722 0.000
-1.053 -2.660 7.440
Na Si N
6 6 10
Direct
0.147 0.334 0.397 Na
0.154 0.117 0.719 Na
0.333 0.931 0.119 Na
0.667 0.069 0.881 Na
0.846 0.883 0.281 Na
0.853 0.666 0.603 Na
0.192 0.457 0.085 Si
0.400 0.612 0.788 Si
0.419 0.819 0.479 Si
0.581 0.181 0.521 Si
0.600 0.388 0.212 Si
0.808 0.543 0.915 Si
0.139 0.551 0.898 N
0.278 0.015 0.426 N
0.295 0.704 0.624 N
0.333 0.239 0.045 N
0.429 0.610 0.276 N
0.571 0.390 0.724 N
0.667 0.761 0.955 N
0.705 0.296 0.376 N
0.722 0.985 0.574 N
0.861 0.449 0.102 N
```

Peak list (10 most intense, 15° ≤ 2θ ≤ 90°, in order of rising 2θ)
two_theta  I/Imax
16.98  53
21.27  53
27.87  36
30.03  45
34.32  100
34.60  29
35.37  61
36.16  29
37.13  72
44.95  31

***

Copy entry 5 word for word.
Computed powder diffractogram of TaBe8Tc3 for Cu Kα (λ = 1.5418 Å), from the GGA-PBE geometry in Alexandria.
Neutral-atom scattering factors, no anomalous dispersion.

```
TaBe8Tc3
1.0
4.413 0.000 0.000
-2.206 3.822 0.000
0.000 0.000 7.249
Ta Be Tc
1 8 3
Direct
0.000 0.000 0.000 Ta
0.164 0.329 0.683 Be
0.164 0.836 0.683 Be
0.333 0.667 0.440 Be
0.333 0.667 0.935 Be
0.503 0.006 0.194 Be
0.503 0.497 0.194 Be
0.671 0.836 0.683 Be
0.994 0.497 0.194 Be
0.000 0.000 0.377 Tc
0.667 0.333 0.499 Tc
0.667 0.333 0.874 Tc
```

Peak list (10 most intense, 15° ≤ 2θ ≤ 90°, in order of rising 2θ)
two_theta  I/Imax
23.28  94
24.56  53
26.36  69
34.09  44
40.90  93
44.35  100
48.29  67
61.91  30
69.32  24
76.90  39

***

- Which formula does entry 5 have?
  TaBe8Tc3